# Sr2WF8
Computed powder diffraction line list, Cu Kα (weighted mean of Kα1 and Kα2). Input: a cell relaxed with GGA+U.
Lines closer than 0.1° are merged.

Structural model:
Cell lengths 7.1196, 7.1196, 4.7296 Å; angles 90.00, 90.00, 120.00 degrees
Space group P-3m1 (No. 164)
Symmetry-distinct sites (fractional):
Sr 0.3333 0.6667 0.2586 (multiplicity 2)
W 0.0000 0.0000 0.0000 (multiplicity 1)
F 0.1378 0.2756 0.2303 (multiplicity 6)
F 0.3333 0.6667 0.7569 (multiplicity 2)

Peak list (10 most intense, 10 to 90 degrees two-theta, by angle)
| hkl | d_spacing | two_theta | I/Imax |
| --- | --- | --- | --- |
| 1 0 0 | 6.166 | 14.4 | 37 |
| 0 1 1 | 3.753 | 23.7 | 93 |
| 1 1 0 | 3.560 | 25.0 | 100 |
| 1 1 1 | 2.844 | 31.5 | 23 |
| 2 0 1 | 2.583 | 34.7 | 20 |
| 1 0 2 | 2.208 | 40.9 | 24 |
| 1 2 1 | 2.090 | 43.3 | 42 |
| 0 2 2 | 1.876 | 48.5 | 27 |
| 2 2 0 | 1.780 | 51.3 | 22 |
| 2 1 2 | 1.660 | 55.3 | 31 |